No. 1
Simulated powder diffraction line list of Ce3TlCd2 for Cu Kα, from a structure optimized by DFT (PBE).
Peak positions follow from Bragg's law for the DFT cell and can differ from measured ones.

Principal peaks in the range 10° ≤ 2θ ≤ 80°, in order of rising 2θ:
hkl	Position (°2θ)	d/Å	I (rel.)
1 1 -2	28.98	3.081	24
1 1 2	30.21	2.959	47
0 2 2	31.16	2.870	30
3 1 0	31.69	2.824	47
0 4 0	32.46	2.758	100
3 1 -1	33.64	2.664	25
1 3 2	38.17	2.358	30
3 3 0	39.38	2.288	32
3 3 1	42.38	2.133	38
2 4 -2	46.57	1.950	21

Cell and atoms:
```
data_Ce3TlCd2
_chemical_formula_sum 'Ce12 Tl4 Cd8'
_cell_length_a 8.782
_cell_length_b 11.041
_cell_length_c 6.736
_cell_angle_alpha 90.00
_cell_angle_beta 93.77
_cell_angle_gamma 90.00
_symmetry_space_group_name_H-M 'C 1 2/c 1'
_symmetry_Int_Tables_number 15
loop_
_symmetry_equiv_pos_as_xyz
'x,y,z'
'-x,-y,-z'
'-x,y,-z+1/2'
'x,-y,z+1/2'
'x+1/2,y+1/2,z'
'-x+1/2,-y+1/2,-z'
'-x+1/2,y+1/2,-z+1/2'
'x+1/2,-y+1/2,z+1/2'
loop_
_atom_site_label
_atom_site_type_symbol
_atom_site_fract_x
_atom_site_fract_y
_atom_site_fract_z
Ce1 Ce 0.000 0.223 0.250
Ce2 Ce 0.146 0.040 0.475
Tl1 Tl 0.000 0.494 0.750
Cd1 Cd 0.155 0.253 0.812
```


No. 2
Simulated powder diffraction line list of Ce2TlCd5 for Cu Kα, from a structure optimized by DFT (PBE).
Peak positions follow from Bragg's law for the DFT cell and can differ from measured ones.

Principal peaks in the range 10° ≤ 2θ ≤ 80°, in order of rising 2θ:
hkl	Position (°2θ)	d/Å	I (rel.)
1 1 2	26.41	3.375	36
1 3 2	30.05	2.974	100
1 5 0	31.40	2.849	74
1 1 3	33.30	2.690	55
0 0 4	36.06	2.491	18
2 0 0	37.90	2.374	55
0 6 3	40.77	2.213	36
1 7 1	41.25	2.188	28
1 5 3	41.77	2.163	27
2 6 3	56.88	1.619	27

Cell and atoms:
```
data_Ce2TlCd5
_chemical_formula_sum 'Ce8 Tl4 Cd20'
_cell_length_a 4.748
_cell_length_b 17.811
_cell_length_c 9.964
_cell_angle_alpha 90.00
_cell_angle_beta 90.00
_cell_angle_gamma 90.00
_symmetry_space_group_name_H-M 'C m c m'
_symmetry_Int_Tables_number 63
_symmetry_space_group_name_Hall '-C 2c 2'
loop_
_atom_site_label
_atom_site_type_symbol
_atom_site_fract_x
_atom_site_fract_y
_atom_site_fract_z
Ce1 Ce 0.000 0.000 0.000
Ce2 Ce 0.000 0.197 0.250
Tl1 Tl 0.000 0.453 0.750
Cd1 Cd 0.000 0.192 0.605
Cd2 Cd 0.000 0.352 0.529
Cd3 Cd 0.000 0.390 0.250
```


No. 3
Simulated powder diffraction line list of Ce2TlCd16 for Cu Kα, from a structure optimized by DFT (PBE).
Peak positions follow from Bragg's law for the DFT cell and can differ from measured ones.

Principal peaks in the range 10° ≤ 2θ ≤ 80°, in order of rising 2θ:
hkl	Position (°2θ)	d/Å	I (rel.)
3 0 0	30.35	2.945	44
0 2 4	31.39	2.850	29
2 2 0	35.18	2.551	65
0 3 3	35.42	2.534	100
0 0 6	36.12	2.487	47
2 0 5	36.34	2.472	31
2 2 3	39.72	2.269	70
1 1 6	40.36	2.235	18
6 0 0	63.14	1.473	28
0 3 9	64.50	1.445	33

Cell and atoms:
```
data_Ce2TlCd16
_chemical_formula_sum 'Ce6 Tl3 Cd48'
_cell_length_a 10.2028
_cell_length_b 10.2028
_cell_length_c 14.9160
_cell_angle_alpha 90.00
_cell_angle_beta 90.00
_cell_angle_gamma 120.00
_symmetry_space_group_name_H-M 'R 3 m'
_symmetry_Int_Tables_number 160
_symmetry_space_group_name_Hall 'R 3 -2"'
loop_
_atom_site_label
_atom_site_type_symbol
_atom_site_fract_x
_atom_site_fract_y
_atom_site_fract_z
Ce1 Ce 0.0000 0.0000 0.0000
Ce2 Ce 0.0000 0.0000 0.3355
Tl1 Tl 0.0000 0.0000 0.7716
Cd1 Cd 0.0000 0.0000 0.5678
Cd2 Cd 0.0010 0.3056 0.6677
Cd3 Cd 0.0112 0.5056 0.1668
Cd4 Cd 0.0155 0.5078 0.8180
Cd5 Cd 0.1755 0.3509 0.8519
```


No. 4
Simulated powder diffraction line list of Ce2TmCd5 for Cu Kα, from a structure optimized by DFT (PBE).
Peak positions follow from Bragg's law for the DFT cell and can differ from measured ones.

Principal peaks in the range 10° ≤ 2θ ≤ 80°, in order of rising 2θ:
hkl	Position (°2θ)	d/Å	I (rel.)
1 0 3	24.22	3.675	2
1 1 4	33.65	2.664	100
2 0 0	36.86	2.438	41
0 0 8	43.14	2.097	11
2 2 0	53.12	1.724	14
2 0 8	58.01	1.590	18
3 1 4	64.37	1.447	29
2 2 8	70.74	1.332	10
1 1 12	73.03	1.296	7
4 0 0	78.44	1.219	4

Cell and atoms:
```
data_Ce2TmCd5
_chemical_formula_sum 'Ce4 Tm2 Cd10'
_cell_length_a 4.877
_cell_length_b 4.877
_cell_length_c 16.776
_cell_angle_alpha 90.00
_cell_angle_beta 90.00
_cell_angle_gamma 90.00
_symmetry_space_group_name_H-M 'I 4/m m m'
_symmetry_Int_Tables_number 139
_symmetry_space_group_name_Hall '-I 4 2'
loop_
_atom_site_label
_atom_site_type_symbol
_atom_site_fract_x
_atom_site_fract_y
_atom_site_fract_z
Ce1 Ce 0.000 0.000 0.241
Tm1 Tm 0.000 0.000 0.500
Cd1 Cd 0.000 0.000 0.000
Cd2 Cd 0.000 0.500 0.115
```